1.
For Sc4Ta2Sb3C3, a structure optimized by DFT (PBE) gives the computed powder X-ray diffraction pattern in this record (copper Kα).
Kinematic intensities with the Lorentz-polarization factor, no thermal factor.

Atomic structure:
Cell: 5.827 5.827 14.306 Å, 101.74 101.74 60.20°
Fractional coordinates of all 24 atoms:
Sc: 0.037 0.187 0.087
Sc: 0.128 0.305 0.412
Sc: 0.187 0.037 0.587
Sc: 0.305 0.128 0.912
Sc: 0.695 0.872 0.088
Sc: 0.813 0.963 0.413
Sc: 0.872 0.695 0.588
Sc: 0.963 0.813 0.913
Ta: 0.351 0.525 0.078
Ta: 0.475 0.649 0.422
Ta: 0.525 0.351 0.578
Ta: 0.649 0.475 0.922
Sb: 0.100 0.900 0.250
Sb: 0.265 0.415 0.751
Sb: 0.415 0.265 0.251
Sb: 0.585 0.735 0.749
Sb: 0.735 0.585 0.249
Sb: 0.900 0.100 0.750
C: 0.000 0.500 0.000
C: 0.185 0.658 0.500
C: 0.342 0.815 0.000
C: 0.500 0.000 0.500
C: 0.658 0.185 0.000
C: 0.815 0.342 0.500

Peak list (8 most intense, 10 to 80 degrees two-theta, most intense first)
| two_theta | I (rel.) |
| --- | --- |
| 36.40 | 100 |
| 30.66 | 23 |
| 38.86 | 20 |
| 17.67 | 16 |
| 68.76 | 14 |
| 54.44 | 14 |
| 68.88 | 12 |
| 18.08 | 11 |

---

2.
For CuAg4, a structure optimized by DFT (PBE) gives the computed powder X-ray diffraction pattern in this record (copper Kα).
Kinematic intensities with the Lorentz-polarization factor, no thermal factor.

Atomic structure:
Cell: 2.896 2.896 19.963 Å, 90.00 90.00 90.00°
Fractional coordinates of all 10 atoms:
Cu: 0.000 0.000 0.200
Cu: 0.000 0.000 0.800
Ag: 0.000 0.000 0.000
Ag: 0.000 0.000 0.395
Ag: 0.000 0.000 0.605
Ag: 0.500 0.500 0.108
Ag: 0.500 0.500 0.290
Ag: 0.500 0.500 0.500
Ag: 0.500 0.500 0.710
Ag: 0.500 0.500 0.892

Peak list (8 most intense, 10 to 80 degrees two-theta, most intense first)
| two_theta | I (rel.) |
| --- | --- |
| 38.40 | 100 |
| 44.23 | 34 |
| 77.47 | 23 |
| 65.27 | 17 |
| 45.43 | 13 |
| 64.33 | 11 |
| 79.21 | 8 |
| 33.75 | 3 |

---

3.
For AlAgTeSe, a structure optimized by DFT (PBE) gives the computed powder X-ray diffraction pattern in this record (copper Kα).
Kinematic intensities with the Lorentz-polarization factor, no thermal factor.

Atomic structure:
Cell: 8.814 8.821 7.170 Å, 90.00 126.51 90.00°
Fractional coordinates of all 16 atoms:
Al: 0.000 0.112 0.000
Al: 0.000 0.888 0.500
Al: 0.500 0.388 0.500
Al: 0.500 0.612 0.000
Ag: 0.479 0.133 0.001
Ag: 0.479 0.867 0.501
Ag: 0.979 0.367 0.501
Ag: 0.979 0.633 0.001
Te: 0.129 0.362 0.250
Te: 0.129 0.638 0.750
Te: 0.629 0.138 0.750
Te: 0.629 0.862 0.250
Se: 0.102 0.109 0.750
Se: 0.102 0.891 0.250
Se: 0.602 0.391 0.250
Se: 0.602 0.609 0.750

Peak list (8 most intense, 10 to 80 degrees two-theta, most intense first)
| two_theta | I (rel.) |
| --- | --- |
| 25.43 | 100 |
| 25.75 | 55 |
| 40.95 | 50 |
| 42.35 | 47 |
| 25.14 | 46 |
| 43.12 | 45 |
| 32.95 | 22 |
| 48.49 | 19 |

---

4.
For LiHf2Al2CuPd2, a structure optimized by DFT (PBE) gives the computed powder X-ray diffraction pattern in this record (copper Kα).
Kinematic intensities with the Lorentz-polarization factor, no thermal factor.

Atomic structure:
Cell: 4.468 4.468 6.329 Å, 90.00 90.00 90.00°
Fractional coordinates of all 8 atoms:
Li: 0.000 0.000 0.000
Hf: 0.000 0.500 0.748
Hf: 0.500 0.000 0.252
Al: 0.000 0.500 0.252
Al: 0.500 0.000 0.748
Cu: 0.500 0.500 0.500
Pd: 0.000 0.000 0.500
Pd: 0.500 0.500 0.000

Peak list (8 most intense, 10 to 80 degrees two-theta, most intense first)
| two_theta | I (rel.) |
| --- | --- |
| 40.35 | 100 |
| 24.39 | 55 |
| 73.36 | 34 |
| 47.71 | 28 |
| 64.22 | 12 |
| 58.42 | 11 |
| 58.32 | 6 |
| 78.68 | 4 |

---

5.
For Rb2CoPd2S4, a structure optimized by DFT (PBE) gives the computed powder X-ray diffraction pattern in this record (copper Kα).
Kinematic intensities with the Lorentz-polarization factor, no thermal factor.

Atomic structure:
Cell: 8.611 7.644 5.978 Å, 77.34 60.02 42.64°
Fractional coordinates of all 9 atoms:
Rb: 0.159 0.159 0.841
Rb: 0.841 0.841 0.159
Co: 0.500 0.500 0.500
Pd: 0.000 0.000 0.500
Pd: 0.500 0.500 0.000
S: 0.232 0.551 0.449
S: 0.449 0.768 0.232
S: 0.551 0.232 0.768
S: 0.768 0.449 0.551

Peak list (8 most intense, 10 to 80 degrees two-theta, most intense first)
| two_theta | I (rel.) |
| --- | --- |
| 12.72 | 100 |
| 35.81 | 70 |
| 21.68 | 58 |
| 25.37 | 55 |
| 33.37 | 53 |
| 52.11 | 42 |
| 38.45 | 34 |
| 53.54 | 20 |

---

6.
For Lu3Ge13Os4, a structure optimized by DFT (PBE) gives the computed powder X-ray diffraction pattern in this record (copper Kα).
Kinematic intensities with the Lorentz-polarization factor, no thermal factor.

Atomic structure:
Cell: 9.010 9.010 9.010 Å, 90.00 90.00 90.00°
Fractional coordinates of all 40 atoms:
Lu: 0.000 0.250 0.500
Lu: 0.000 0.750 0.500
Lu: 0.250 0.500 0.000
Lu: 0.500 0.000 0.250
Lu: 0.500 0.000 0.750
Lu: 0.750 0.500 0.000
Ge: 0.000 0.000 0.000
Ge: 0.000 0.300 0.144
Ge: 0.000 0.300 0.856
Ge: 0.000 0.700 0.144
Ge: 0.000 0.700 0.856
Ge: 0.144 0.000 0.300
Ge: 0.144 0.000 0.700
Ge: 0.200 0.500 0.356
Ge: 0.200 0.500 0.644
Ge: 0.300 0.144 0.000
Ge: 0.300 0.856 0.000
Ge: 0.356 0.200 0.500
Ge: 0.356 0.800 0.500
Ge: 0.500 0.356 0.200
Ge: 0.500 0.356 0.800
Ge: 0.500 0.500 0.500
Ge: 0.500 0.644 0.200
Ge: 0.500 0.644 0.800
Ge: 0.644 0.200 0.500
Ge: 0.644 0.800 0.500
Ge: 0.700 0.144 0.000
Ge: 0.700 0.856 0.000
Ge: 0.800 0.500 0.356
Ge: 0.800 0.500 0.644
Ge: 0.856 0.000 0.300
Ge: 0.856 0.000 0.700
Os: 0.250 0.250 0.250
Os: 0.250 0.250 0.750
Os: 0.250 0.750 0.250
Os: 0.250 0.750 0.750
Os: 0.750 0.250 0.250
Os: 0.750 0.250 0.750
Os: 0.750 0.750 0.250
Os: 0.750 0.750 0.750

Peak list (8 most intense, 10 to 80 degrees two-theta, most intense first)
| two_theta | I (rel.) |
| --- | --- |
| 35.94 | 100 |
| 40.03 | 58 |
| 34.48 | 55 |
| 49.56 | 47 |
| 19.71 | 42 |
| 37.34 | 38 |
| 69.16 | 38 |
| 45.00 | 32 |

---

7.
For PrSmB2Ir2O2, a structure optimized by DFT (PBE) gives the computed powder X-ray diffraction pattern in this record (copper Kα).
Kinematic intensities with the Lorentz-polarization factor, no thermal factor.

Atomic structure:
Cell: 3.852 3.852 7.480 Å, 90.00 90.00 90.00°
Fractional coordinates of all 8 atoms:
Pr: 0.000 0.000 0.000
Sm: 0.500 0.500 0.634
B: 0.000 0.000 0.466
B: 0.500 0.500 0.172
Ir: 0.000 0.500 0.321
Ir: 0.500 0.000 0.321
O: 0.000 0.000 0.669
O: 0.500 0.500 0.967

Peak list (8 most intense, 10 to 80 degrees two-theta, most intense first)
| two_theta | I (rel.) |
| --- | --- |
| 35.06 | 100 |
| 40.99 | 87 |
| 11.83 | 78 |
| 47.19 | 43 |
| 26.02 | 42 |
| 36.02 | 41 |
| 60.77 | 36 |
| 72.02 | 19 |

---

8.
For HgTe2PS, a structure optimized by DFT (PBE) gives the computed powder X-ray diffraction pattern in this record (copper Kα).
Kinematic intensities with the Lorentz-polarization factor, no thermal factor.

Atomic structure:
Cell: 6.665 7.023 7.944 Å, 94.62 104.75 115.10°
Fractional coordinates of all 10 atoms:
Hg: 0.150 0.284 0.375
Hg: 0.850 0.716 0.625
Te: 0.295 0.752 0.767
Te: 0.477 0.371 0.724
Te: 0.523 0.629 0.276
Te: 0.705 0.248 0.233
P: 0.446 0.949 0.346
P: 0.554 0.051 0.654
S: 0.115 0.892 0.237
S: 0.885 0.108 0.763

Peak list (8 most intense, 10 to 80 degrees two-theta, most intense first)
| two_theta | I (rel.) |
| --- | --- |
| 11.80 | 100 |
| 42.73 | 67 |
| 18.32 | 64 |
| 23.72 | 63 |
| 28.73 | 62 |
| 24.56 | 58 |
| 28.97 | 57 |
| 16.45 | 50 |